For RbAc2MnO5, DFT lattice parameters and positions (PBE+U) gives the calculated X-ray diffraction stick pattern in this record (Cu Kα (λ = 1.5418 Å)).
No peak broadening, texture or thermal motion is included.

Top 10 peaks for 2θ from 10° to 90°, by intensity:
- 2θ = 29.0°, intensity 100, (2 0 1)
- 2θ = 31.6°, intensity 86, (2 1 1)
- 2θ = 14.8°, intensity 64, (0 0 1)
- 2θ = 41.2°, intensity 54, (2 1 2)
- 2θ = 27.7°, intensity 40, (2 1 0)
- 2θ = 29.8°, intensity 38, (0 0 2)
- 2θ = 52.4°, intensity 37, (2 0 3)
- 2θ = 54.8°, intensity 32, (4 1 1)
- 2θ = 54.0°, intensity 26, (3 3 0)
- 2θ = 61.5°, intensity 23, (4 1 2)

abc: 7.190 7.190 5.996
angles: 90.00 90.00 90.00
Atoms (fractional coordinates):
Rb1 0.000 0.000 0.000
Rb2 0.500 0.500 0.000
Ac1 0.182 0.318 0.500
Ac2 0.318 0.818 0.500
Ac3 0.682 0.182 0.500
Ac4 0.818 0.682 0.500
Mn1 0.000 0.500 0.000
Mn2 0.500 0.000 0.000
O1 0.000 0.000 0.500
O2 0.128 0.628 0.236
O3 0.128 0.628 0.764
O4 0.372 0.128 0.236
O5 0.372 0.128 0.764
O6 0.500 0.500 0.500
O7 0.628 0.872 0.236
O8 0.628 0.872 0.764
O9 0.872 0.372 0.236
O10 0.872 0.372 0.764